No. 1
# LaAlO3
Simulated powder XRD pattern, CuKα. Input: a DFT-relaxed cell (PBE, the Materials Project).

Structure:
```
10
Lattice="2.706 1.562 4.396 -2.706 1.562 4.396 0.000 -3.124 4.396" Properties=species:S:1:pos:R:3 pbc="T T T"
La 0.000 0.000 3.297
La 0.000 0.000 9.891
Al 0.000 0.000 0.000
Al 0.000 0.000 6.594
O -1.459 0.597 5.495
O -1.247 -0.965 7.693
O 0.212 -1.562 5.495
O -0.212 1.562 7.693
O 1.247 0.965 5.495
O 1.459 -0.597 7.693
```

Top 8 peaks for 15 to 90 degrees two-theta, low angle first:
| two_theta | I_rel |
| --- | --- |
| 23.29 | 95 |
| 33.11 | 98 |
| 33.22 | 100 |
| 40.87 | 61 |
| 41.06 | 21 |
| 47.61 | 70 |
| 53.57 | 23 |
| 59.19 | 61 |

No. 2
# LaAlO3
Simulated powder XRD pattern, CuKα. Input: a DFT-relaxed cell (PBE, the Materials Project).

Structure:
```
60
Lattice="7.368 0.000 0.000 0.000 7.939 0.000 -2.041 0.000 16.119" Properties=species:S:1:pos:R:3 pbc="T T T"
La -0.294 0.989 4.140
La -1.314 2.980 12.200
La 0.732 0.999 9.597
La 1.753 2.970 1.537
La 0.728 4.968 9.617
La 1.749 6.940 1.558
La 3.577 0.999 14.561
La 4.598 2.971 6.502
La 3.573 4.969 14.582
La 4.594 6.939 6.522
La 6.641 4.959 3.919
La 5.620 6.950 11.979
Al -0.118 1.235 14.614
Al 0.903 2.735 6.555
Al -0.111 4.720 14.615
Al 0.910 7.188 6.556
Al 2.662 4.955 4.814
Al 1.641 6.953 12.873
Al 3.685 0.986 3.246
Al 2.664 2.984 11.305
Al 4.416 0.751 9.563
Al 5.437 3.219 1.504
Al 4.423 5.204 9.564
Al 5.444 6.704 1.505
O -1.559 0.858 13.601
O -0.538 3.111 5.541
O -1.567 5.111 13.634
O -0.546 6.797 5.574
O 1.644 0.943 0.207
O 0.623 3.027 8.267
O 1.703 4.999 0.224
O 0.683 6.910 8.283
O 1.078 0.990 6.311
O 0.057 2.979 14.371
O 1.709 4.945 3.310
O 0.688 6.963 11.369
O 1.896 1.003 3.182
O 0.875 2.967 11.242
O 1.300 0.441 13.906
O 2.321 3.529 5.847
O 1.301 5.522 13.908
O 2.322 6.386 5.848
O 3.004 1.553 10.271
O 4.025 2.417 2.211
O 3.006 4.410 10.272
O 4.026 7.498 2.213
O 4.451 4.972 4.877
O 3.430 6.936 12.937
O 4.638 0.976 4.750
O 3.617 2.994 12.809
O 5.269 4.960 1.748
O 4.248 6.949 9.808
O 4.644 1.029 7.836
O 3.623 2.940 15.895
O 4.703 4.912 7.852
O 3.683 6.996 15.912
O 5.872 1.142 10.545
O 6.893 2.828 2.485
O 5.865 4.828 10.578
O 6.885 7.081 2.518
```

Top 8 peaks for 15 to 90 degrees two-theta, low angle first:
| two_theta | I_rel |
| --- | --- |
| 17.37 | 56 |
| 23.84 | 24 |
| 25.47 | 28 |
| 25.81 | 29 |
| 27.94 | 100 |
| 33.32 | 27 |
| 39.17 | 31 |
| 49.65 | 30 |

No. 3
# La3AlO6
Simulated powder XRD pattern, CuKα. Input: a DFT-relaxed cell (PBE, the Materials Project).

Structure:
```
20
Lattice="4.710 -5.910 0.000 4.710 5.910 0.000 0.000 0.000 5.645" Properties=species:S:1:pos:R:3 pbc="T T T"
La 4.710 4.669 2.822
La 2.892 1.275 2.602
La 2.892 -1.275 5.425
La 6.529 1.275 2.602
La 6.529 -1.275 5.425
La 4.710 -4.669 0.000
Al 4.710 2.301 5.191
Al 4.710 -2.301 2.369
O 3.328 3.083 4.333
O 1.507 0.156 4.109
O 1.507 -0.156 1.287
O 4.710 2.517 1.321
O 6.092 3.083 4.333
O 4.710 0.622 4.557
O 4.710 -0.622 1.734
O 3.328 -3.083 1.510
O 4.710 -2.517 4.144
O 7.914 0.156 4.109
O 7.914 -0.156 1.287
O 6.092 -3.083 1.510
```

Top 8 peaks for 15 to 90 degrees two-theta, low angle first:
| two_theta | I_rel |
| --- | --- |
| 19.81 | 26 |
| 28.94 | 100 |
| 29.22 | 38 |
| 29.43 | 20 |
| 31.70 | 18 |
| 43.80 | 27 |
| 44.39 | 25 |
| 48.18 | 19 |

No. 4
# LaAlO3
Simulated powder XRD pattern, CuKα. Input: a DFT-relaxed cell (PBE, the Materials Project).

Structure:
```
10
Lattice="3.796 0.000 0.000 -1.718 5.599 0.000 -0.460 -2.074 5.820" Properties=species:S:1:pos:R:3 pbc="T T T"
La 0.000 0.000 0.000
La -0.039 0.798 4.036
Al 0.127 4.410 2.204
Al 1.936 2.414 2.248
O 0.036 2.509 2.185
O 0.257 4.159 0.212
O 1.849 -0.827 4.118
O 1.899 0.685 1.680
O 1.852 2.153 4.011
O 2.024 4.271 2.140
```

Top 8 peaks for 15 to 90 degrees two-theta, low angle first:
| two_theta | I_rel |
| --- | --- |
| 18.53 | 63 |
| 25.05 | 52 |
| 26.34 | 100 |
| 29.67 | 77 |
| 30.10 | 47 |
| 31.63 | 50 |
| 33.55 | 64 |
| 35.30 | 46 |

No. 5
# LaAlO3
Simulated powder XRD pattern, CuKα. Input: a DFT-relaxed cell (PBE, the Materials Project).

Structure:
```
10
Lattice="-2.694 2.694 3.840 2.694 -2.694 3.840 2.694 2.694 -3.840" Properties=species:S:1:pos:R:3 pbc="T T T"
La 2.694 0.000 1.920
La 0.000 2.694 1.920
Al 0.000 0.000 0.000
Al 0.000 0.000 3.840
O 3.885 1.191 0.000
O 0.000 0.000 1.920
O 1.191 1.503 0.000
O 1.503 1.191 3.840
O 0.000 0.000 5.760
O -1.191 1.503 3.840
```

Top 8 peaks for 15 to 90 degrees two-theta, low angle first:
| two_theta | I_rel |
| --- | --- |
| 23.16 | 24 |
| 23.35 | 48 |
| 33.12 | 100 |
| 33.25 | 52 |
| 40.92 | 63 |
| 47.74 | 35 |
| 53.75 | 22 |
| 59.34 | 41 |